Entry 1:
The following is a computed PXRD pattern of Sr2TiMnO5. It was derived from a cell relaxed with GGA+U, using Cu Kα X-rays.

Principal peaks in the range 5° ≤ 2θ ≤ 70°, most intense first:
2θ (°)  I_rel
31.66  100
31.82  38
45.29  35
31.38  35
56.59  32
45.49  18
56.04  18
66.14  18
56.31  11
38.83  10

Structure:
```
Sr2TiMnO5
1.0
-7.976 2.851 2.813
7.976 -2.851 2.813
7.976 2.851 -2.813
Sr Ti Mn O
4 2 2 10
Cartesian
1.794 0.072 0.000 Sr
6.182 0.072 0.000 Sr
1.794 2.779 2.813 Sr
6.182 2.779 2.813 Sr
0.000 2.851 0.019 Ti
0.000 0.000 2.832 Ti
3.988 -0.342 2.960 Mn
3.988 3.193 0.148 Mn
1.975 2.615 -0.154 O
6.001 2.615 -0.154 O
-0.145 1.461 1.323 O
8.121 1.461 1.323 O
1.975 0.235 2.659 O
6.001 0.235 2.659 O
-3.988 2.246 2.180 O
0.145 4.241 1.323 O
-0.145 1.390 4.136 O
3.988 3.456 2.180 O
```

Entry 2:
The following is a computed PXRD pattern of Mn2NiO3. It was derived from a cell relaxed with GGA+U, using Cu Kα X-rays.

Principal peaks in the range 5° ≤ 2θ ≤ 70°, most intense first:
2θ (°)  I_rel
40.87  100
35.13  50
58.98  30
59.36  28
35.41  16
11.64  3
49.20  1

Structure:
```
Mn2NiO3
1.0
3.132 0.000 0.000
-1.566 2.712 0.000
0.000 0.000 7.605
Mn Ni O
2 1 3
Cartesian
0.000 1.808 1.320 Mn
1.566 0.904 6.285 Mn
0.000 0.000 3.803 Ni
0.000 0.000 0.000 O
0.000 1.808 4.973 O
1.566 0.904 2.632 O
```

Entry 3:
The following is a computed PXRD pattern of BaY2Mo4O16. It was derived from a cell relaxed with GGA+U, using Cu Kα X-rays.

Principal peaks in the range 5° ≤ 2θ ≤ 70°, most intense first:
2θ (°)  I_rel
29.44  100
25.95  99
27.28  98
28.79  93
25.37  91
27.14  90
30.71  87
33.68  62
28.21  59
28.48  56

Structure:
```
BaY2Mo4O16
1.0
2.662 -6.385 0.000
2.662 6.385 0.000
-0.478 0.000 19.626
Ba Y Mo O
2 4 8 32
Cartesian
2.304 5.986 14.719 Ba
2.543 -5.986 4.906 Ba
2.396 4.486 10.443 Y
2.211 4.486 18.996 Y
2.635 -4.486 0.630 Y
2.450 -4.486 9.183 Y
2.572 3.063 2.902 Mo
2.513 3.063 6.911 Mo
2.161 0.745 17.858 Mo
2.446 0.745 11.580 Mo
2.400 -0.745 8.045 Mo
2.685 -0.745 1.768 Mo
2.334 -3.063 12.715 Mo
2.274 -3.063 16.724 Mo
1.903 4.617 3.413 O
1.559 3.311 8.507 O
1.184 1.906 2.599 O
1.418 2.475 5.668 O
1.360 2.178 18.764 O
1.237 0.611 7.812 O
1.033 0.222 10.502 O
1.272 -0.222 0.689 O
3.182 4.617 6.400 O
1.711 1.050 13.129 O
0.998 -0.611 17.625 O
0.945 -1.906 12.412 O
3.526 3.311 1.306 O
1.950 -1.050 3.316 O
1.179 -2.475 15.481 O
3.247 2.178 10.675 O
1.599 -2.178 8.951 O
3.667 2.475 4.145 O
2.896 1.050 16.309 O
1.320 -3.311 18.320 O
3.901 1.906 7.214 O
3.849 0.611 2.001 O
3.135 -1.050 6.496 O
1.665 -4.617 13.226 O
3.574 0.222 18.936 O
3.813 -0.222 9.123 O
3.610 -0.611 11.814 O
3.486 -2.178 0.862 O
3.428 -2.475 13.958 O
3.662 -1.906 17.027 O
3.287 -3.311 11.119 O
2.943 -4.617 16.213 O
```

Entry 4:
The following is a computed PXRD pattern of Li4Mn5Ni3O16. It was derived from a cell relaxed with GGA+U, using Cu Kα X-rays.

Principal peaks in the range 5° ≤ 2θ ≤ 70°, most intense first:
2θ (°)  I_rel
18.96  100
20.28  77
20.01  55
47.00  46
35.95  43
64.17  42
36.65  41
46.18  35
41.24  31
19.71  30

Structure:
```
Li4Mn5Ni3O16
1.0
5.047 -2.874 0.000
5.047 2.874 0.000
-0.309 0.000 9.363
Li Mn Ni O
4 5 3 16
Cartesian
0.000 0.000 0.000 Li
-0.083 0.000 4.735 Li
3.230 0.000 5.615 Li
6.715 0.000 0.912 Li
4.112 1.416 2.651 Mn
3.327 0.000 0.089 Mn
4.112 -1.416 2.651 Mn
6.544 0.000 4.809 Mn
8.125 0.000 7.318 Mn
1.645 0.000 2.666 Ni
5.671 1.417 7.351 Ni
5.671 -1.417 7.351 Ni
2.643 1.301 1.409 O
3.860 1.435 8.417 O
1.378 0.000 8.459 O
5.737 1.415 3.754 O
3.346 0.000 3.659 O
4.818 0.000 1.493 O
2.643 -1.301 1.409 O
5.099 0.000 6.101 O
7.348 1.255 6.079 O
3.860 -1.435 8.417 O
6.495 0.000 8.298 O
5.737 -1.415 3.754 O
8.341 0.000 3.695 O
7.348 -1.255 6.079 O
9.997 0.000 1.772 O
9.855 0.000 6.512 O
```

Entry 5:
The following is a computed PXRD pattern of Li3V5O8. It was derived from a cell relaxed with GGA+U, using Cu Kα X-rays.

Principal peaks in the range 5° ≤ 2θ ≤ 70°, most intense first:
2θ (°)  I_rel
42.09  100
17.89  68
61.04  55
34.64  26
36.24  25
55.61  11
64.16  10
20.69  9
46.07  8
29.42  7

Structure:
```
Li3V5O8
1.0
3.036 1.753 4.958
-3.036 1.753 4.958
0.000 -3.506 4.958
Li V O
3 5 8
Cartesian
-1.518 -0.877 4.958 Li
-1.518 0.877 9.915 Li
0.000 1.753 4.958 Li
0.000 0.000 0.000 V
-3.036 0.000 7.436 V
-1.518 0.877 2.479 V
1.518 0.877 2.479 V
0.000 0.000 7.436 V
-1.578 -0.911 8.575 O
0.000 0.000 3.611 O
0.000 -1.822 6.297 O
-1.578 0.911 6.297 O
1.578 -0.911 8.575 O
0.000 1.822 8.575 O
0.000 0.000 11.262 O
1.578 0.911 6.297 O
```

Entry 6:
The following is a computed PXRD pattern of Rb4MgMo2S4O4. It was derived from a cell relaxed with GGA+U, using Cu Kα X-rays.

Principal peaks in the range 5° ≤ 2θ ≤ 70°, most intense first:
2θ (°)  I_rel
26.14  100
27.95  92
24.66  90
26.62  79
26.93  74
15.81  62
39.38  60
15.47  55
17.27  51
25.93  50

Structure:
```
Rb4MgMo2S4O4
1.0
6.639 0.000 0.000
2.903 6.215 0.000
3.023 -1.310 10.269
Rb Mg Mo S O
4 1 2 4 4
Cartesian
0.000 0.000 0.000 Rb
2.999 1.837 5.848 Rb
6.061 0.362 7.935 Rb
6.370 3.999 3.652 Rb
3.752 0.701 1.579 Mg
8.990 2.699 9.578 Mo
6.463 0.387 3.897 Mo
1.644 1.314 2.727 S
4.518 2.931 0.808 S
7.571 3.386 7.913 S
10.295 4.974 5.198 S
5.860 1.558 5.115 O
6.526 5.607 0.118 O
5.188 -0.152 2.651 O
10.067 1.471 8.829 O
```

Entry 7:
The following is a computed PXRD pattern of Li3Ni2SnO6. It was derived from a cell relaxed with GGA+U, using Cu Kα X-rays.

Principal peaks in the range 5° ≤ 2θ ≤ 70°, most intense first:
2θ (°)  I_rel
18.07  100
42.37  71
34.81  51
36.43  24
61.34  21
46.41  21
61.60  20
56.09  16
64.48  12
36.62  8

Structure:
```
Li3Ni2SnO6
1.0
6.572 -1.510 0.000
6.572 1.510 0.000
-1.344 0.000 5.871
Li Ni Sn O
3 2 1 6
Cartesian
0.000 0.000 0.000 Li
3.346 0.000 3.974 Li
8.454 0.000 1.897 Li
4.125 0.000 0.913 Ni
7.675 0.000 4.958 Ni
-0.672 0.000 2.935 Sn
1.322 0.000 3.534 O
2.124 0.000 0.400 O
5.557 0.000 4.343 O
6.242 0.000 1.528 O
9.676 0.000 5.471 O
10.478 0.000 2.336 O
```

Entry 8:
The following is a computed PXRD pattern of MgV5O10. It was derived from a cell relaxed with GGA+U, using Cu Kα X-rays.

Principal peaks in the range 5° ≤ 2θ ≤ 70°, most intense first:
2θ (°)  I_rel
38.16  100
22.57  92
44.86  87
21.87  85
46.70  73
26.28  65
27.15  62
19.82  51
19.42  47
37.42  34

Structure:
```
MgV5O10
1.0
5.439 0.000 0.000
2.636 4.881 0.000
2.590 0.232 6.984
Mg V O
1 5 10
Cartesian
0.000 0.000 0.000 Mg
1.972 2.518 1.583 V
4.553 2.605 5.539 V
3.317 0.240 4.137 V
4.690 2.682 0.023 V
5.972 0.107 2.921 V
4.138 4.042 4.162 O
2.285 1.254 2.816 O
3.571 3.672 1.392 O
5.440 1.819 6.941 O
6.224 3.891 5.651 O
4.977 1.249 4.179 O
6.990 4.027 2.800 O
5.621 1.453 1.402 O
6.592 3.535 0.033 O
8.277 1.712 5.638 O
```